Record 1
Starting from a cell relaxed with PBE, the XRD peak list of Sr3GeBr8 was computed for λ = 1.5418 Å (Cu Kα).
Lines closer than 0.1° are merged.

Most intense lines, 2θ = 10–90°, by angle:
- 2θ 12.34, I = 49.8
- 2θ 16.02, I = 40.4
- 2θ 24.83, I = 15.3
- 2θ 26.85, I = 51.0
- 2θ 29.35, I = 100.0
- 2θ 40.20, I = 66.0
- 2θ 41.57, I = 18.5
- 2θ 42.41, I = 17.7
- 2θ 50.18, I = 16.6
- 2θ 50.91, I = 16.1

Cell and atoms:
```
12
Lattice="4.263 -6.641 0.000 4.263 6.641 0.000 0.000 0.000 8.690" Properties=species:S:1:pos:R:3 pbc="T T T"
Sr 0.000 0.000 0.000
Sr 2.131 3.320 6.475
Sr 2.131 -3.320 2.214
Ge 0.000 0.000 4.345
Br 4.263 3.793 4.345
Br 2.012 0.236 6.380
Br 4.263 3.579 0.000
Br 2.012 -0.236 2.310
Br 6.514 0.236 2.310
Br 4.263 -3.579 0.000
Br 6.514 -0.236 6.380
Br 4.263 -3.793 4.345
```


Record 2
Starting from a cell relaxed with PBE, the XRD peak list of LiCr5Te8 was computed for λ = 1.5418 Å (Cu Kα).
Lines closer than 0.1° are merged.

Most intense lines, 2θ = 10–90°, by angle:
- 2θ 13.42, I = 21.5
- 2θ 27.04, I = 88.0
- 2θ 31.32, I = 100.0
- 2θ 41.05, I = 20.3
- 2θ 44.88, I = 84.3
- 2θ 53.18, I = 35.5
- 2θ 55.75, I = 22.5
- 2θ 72.07, I = 12.4
- 2θ 74.25, I = 25.1
- 2θ 82.78, I = 21.9

Cell and atoms:
```
14
Lattice="0.000 5.712 5.712 5.712 0.000 5.712 5.712 5.712 0.000" Properties=species:S:1:pos:R:3 pbc="T T T"
Li 0.000 0.000 0.000
Cr 7.168 4.256 4.256
Cr 2.856 2.856 2.856
Cr 4.256 7.168 4.256
Cr 4.256 4.256 7.168
Cr 7.168 7.168 7.168
Te 4.387 4.387 4.387
Te 7.037 7.037 4.387
Te 7.037 4.387 7.037
Te 9.875 7.262 7.262
Te 4.387 7.037 7.037
Te 7.262 9.875 7.262
Te 7.262 7.262 9.875
Te 9.875 9.875 9.875
```


Record 3
Starting from a cell relaxed with PBE, the XRD peak list of La2PmPr5In was computed for λ = 1.5418 Å (Cu Kα).
Lines closer than 0.1° are merged.

Most intense lines, 2θ = 10–90°, by angle:
- 2θ 26.10, I = 7.5
- 2θ 27.43, I = 10.3
- 2θ 29.34, I = 25.0
- 2θ 31.54, I = 100.0
- 2θ 32.56, I = 11.3
- 2θ 44.37, I = 7.0
- 2θ 46.00, I = 8.6
- 2θ 56.22, I = 14.3
- 2θ 58.02, I = 6.9
- 2θ 59.76, I = 7.4

Cell and atoms:
```
18
Lattice="2.832 -10.209 0.000 2.832 10.209 0.000 0.000 0.000 11.002" Properties=species:S:1:pos:R:3 pbc="T T T"
La 2.832 7.811 6.004
La 2.832 7.811 10.499
La 2.832 -7.811 0.503
La 2.832 -7.811 4.998
Pm 2.832 6.163 2.750
Pm 2.832 -6.163 8.251
Pr 2.832 9.953 2.750
Pr 2.832 4.323 6.102
Pr 2.832 4.323 10.401
Pr 2.832 2.419 2.750
Pr 2.832 0.000 0.000
Pr 2.832 0.000 5.501
Pr 2.832 -2.419 8.251
Pr 2.832 -4.323 0.601
Pr 2.832 -4.323 4.900
Pr 2.832 -9.953 8.251
In 2.832 1.913 8.251
In 2.832 -1.913 2.750
```


Record 4
Starting from a cell relaxed with PBE, the XRD peak list of Sr5Si2Br2 was computed for λ = 1.5418 Å (Cu Kα).
Lines closer than 0.1° are merged.

Most intense lines, 2θ = 10–90°, by angle:
- 2θ 24.38, I = 15.5
- 2θ 24.83, I = 14.2
- 2θ 28.38, I = 18.9
- 2θ 29.16, I = 100.0
- 2θ 30.97, I = 27.8
- 2θ 31.20, I = 29.5
- 2θ 34.48, I = 15.8
- 2θ 35.08, I = 26.5
- 2θ 38.90, I = 21.3
- 2θ 64.56, I = 13.7

Cell and atoms:
```
18
Lattice="9.260 -4.081 0.000 9.260 4.081 0.000 0.000 0.000 8.174" Properties=species:S:1:pos:R:3 pbc="T T T"
Sr 0.000 0.000 0.000
Sr 7.025 2.631 5.528
Sr 7.025 1.450 1.441
Sr 11.496 2.631 5.528
Sr 11.496 1.450 1.441
Sr 9.260 0.000 4.087
Sr 7.025 -1.450 6.733
Sr 7.025 -2.631 2.646
Sr 11.496 -1.450 6.733
Sr 11.496 -2.631 2.646
Si 9.260 3.191 3.196
Si 9.260 0.890 7.283
Si 9.260 -0.890 0.891
Si 9.260 -3.191 4.978
Br 4.589 0.000 0.000
Br 4.672 0.000 4.087
Br 13.849 0.000 4.087
Br 13.932 0.000 0.000
```